Theoretical powder diffractogram of SiAg2GeS4 for copper Kα, from a crystal structure in Alexandria, relaxed with GGA-PBE.
Lines closer than 0.1° are merged.

Largest 10 diffraction maxima, in order of rising 2θ, 10 to 90 degrees two-theta:
| 2θ/deg | I/Imax |
| --- | --- |
| 19.67 | 21 |
| 24.33 | 42 |
| 27.00 | 52 |
| 28.35 | 100 |
| 28.90 | 60 |
| 39.96 | 26 |
| 41.07 | 31 |
| 46.12 | 39 |
| 50.88 | 45 |
| 55.34 | 25 |

Cell and atoms:
Unit cell a=8.7889 b=6.6054 c=6.1793 alpha=90.00 beta=90.00 gamma=90.00
Element x y z (fractional)
Si (0.0000, 0.1620, 0.0000)
Si (0.5000, 0.8380, 0.5000)
Ag (0.2484, 0.6953, 0.0063)
Ag (0.2516, 0.3047, 0.5063)
Ag (0.7484, 0.3047, 0.5063)
Ag (0.7516, 0.6953, 0.0063)
Ge (0.0000, 0.7976, 0.4685)
Ge (0.5000, 0.2024, 0.9685)
S (0.0000, 0.1507, 0.3549)
S (0.0000, 0.8568, 0.8711)
S (0.2055, 0.3103, 0.9122)
S (0.2945, 0.6897, 0.4122)
S (0.5000, 0.1432, 0.3711)
S (0.5000, 0.8493, 0.8549)
S (0.7055, 0.6897, 0.4122)
S (0.7945, 0.3103, 0.9122)

***

Theoretical powder diffractogram of AgGeTeS for copper Kα, from a crystal structure in Alexandria, relaxed with GGA-PBE.
Lines closer than 0.1° are merged.

Largest 10 diffraction maxima, in order of rising 2θ, 10 to 90 degrees two-theta:
| 2θ/deg | I/Imax |
| --- | --- |
| 22.44 | 36 |
| 24.74 | 100 |
| 27.21 | 68 |
| 27.38 | 65 |
| 36.12 | 53 |
| 37.96 | 31 |
| 44.71 | 51 |
| 44.93 | 45 |
| 45.80 | 32 |
| 45.91 | 31 |

Cell and atoms:
Unit cell a=6.7107 b=4.9733 c=6.6686 alpha=90.00 beta=102.35 gamma=90.00
Element x y z (fractional)
Ag (0.0000, 0.0000, 0.0000)
Ag (0.5000, 0.5000, 0.0000)
Ge (0.0502, 0.5000, 0.5857)
Ge (0.5502, 0.0000, 0.5857)
Te (0.1287, 0.0000, 0.4412)
Te (0.6287, 0.5000, 0.4412)
S (0.1053, 0.5000, 0.9281)
S (0.6053, 0.0000, 0.9281)

***

Theoretical powder diffractogram of Ag2GeTe2S for copper Kα, from a crystal structure in Alexandria, relaxed with GGA-PBE.
Lines closer than 0.1° are merged.

Largest 10 diffraction maxima, in order of rising 2θ, 10 to 90 degrees two-theta:
| 2θ/deg | I/Imax |
| --- | --- |
| 23.36 | 81 |
| 23.87 | 64 |
| 25.63 | 100 |
| 26.69 | 47 |
| 34.95 | 33 |
| 40.75 | 35 |
| 41.68 | 73 |
| 45.84 | 67 |
| 46.12 | 29 |
| 49.57 | 60 |

Cell and atoms:
Unit cell a=7.6172 b=7.6172 c=6.9525 alpha=90.00 beta=90.00 gamma=58.60
Element x y z (fractional)
Ag (0.0312, 0.6812, 0.5000)
Ag (0.3188, 0.9688, 0.5000)
Ag (0.6812, 0.0312, 0.0000)
Ag (0.9688, 0.3188, 0.0000)
Ge (0.3544, 0.6456, 0.9999)
Ge (0.6456, 0.3544, 0.4999)
Te (0.0250, 0.6512, 0.8977)
Te (0.3488, 0.9750, 0.8977)
Te (0.6512, 0.0250, 0.3977)
Te (0.9750, 0.3488, 0.3977)
S (0.3617, 0.6383, 0.3550)
S (0.6383, 0.3617, 0.8550)

***

Theoretical powder diffractogram of Y6AgGe2S14 for copper Kα, from a crystal structure in Alexandria, relaxed with GGA-PBE.
Lines closer than 0.1° are merged.

Largest 10 diffraction maxima, in order of rising 2θ, 10 to 90 degrees two-theta:
| 2θ/deg | I/Imax |
| --- | --- |
| 18.50 | 31 |
| 23.66 | 32 |
| 25.87 | 100 |
| 31.64 | 29 |
| 35.02 | 28 |
| 35.97 | 35 |
| 36.29 | 74 |
| 37.51 | 67 |
| 37.83 | 40 |
| 41.03 | 28 |

Cell and atoms:
Unit cell a=9.9024 b=9.9024 c=5.7833 alpha=90.00 beta=90.00 gamma=120.00
Element x y z (fractional)
Y (0.0225, 0.4656, 0.0000)
Y (0.3100, 0.2019, 0.4994)
Y (0.4431, 0.9775, 0.0000)
Y (0.5344, 0.5569, 0.0000)
Y (0.7981, 0.1081, 0.4994)
Y (0.8919, 0.6900, 0.4994)
Ag (0.6667, 0.3333, 0.2817)
Ge (0.0000, 0.0000, 0.9226)
Ge (0.3333, 0.6667, 0.4165)
S (0.0000, 0.0000, 0.3030)
S (0.0863, 0.2348, 0.7591)
S (0.1485, 0.9137, 0.7591)
S (0.1855, 0.7537, 0.2538)
S (0.2463, 0.4318, 0.2538)
S (0.3333, 0.6667, 0.7974)
S (0.4058, 0.2329, 0.0380)
S (0.5031, 0.0726, 0.5302)
S (0.5682, 0.8145, 0.2538)
S (0.5695, 0.4969, 0.5302)
S (0.7652, 0.8515, 0.7591)
S (0.7671, 0.1729, 0.0380)
S (0.8271, 0.5942, 0.0380)
S (0.9274, 0.4305, 0.5302)

***

Theoretical powder diffractogram of Ag2GeSbSe4 for copper Kα, from a crystal structure in Alexandria, relaxed with GGA-PBE.
Lines closer than 0.1° are merged.

Largest 10 diffraction maxima, in order of rising 2θ, 10 to 90 degrees two-theta:
| 2θ/deg | I/Imax |
| --- | --- |
| 22.87 | 76 |
| 25.35 | 100 |
| 25.96 | 76 |
| 26.19 | 84 |
| 36.60 | 34 |
| 38.14 | 57 |
| 43.98 | 69 |
| 45.20 | 96 |
| 46.36 | 36 |
| 51.44 | 46 |

Cell and atoms:
Unit cell a=9.4371 b=6.8648 c=7.0257 alpha=90.00 beta=90.00 gamma=90.00
Element x y z (fractional)
Ag (0.2480, 0.1874, 0.0000)
Ag (0.2520, 0.8126, 0.5000)
Ag (0.7480, 0.8126, 0.5000)
Ag (0.7520, 0.1874, 0.0000)
Ge (0.0000, 0.3304, 0.5054)
Ge (0.5000, 0.6696, 0.0054)
Sb (0.0000, 0.7018, 0.0204)
Sb (0.5000, 0.2982, 0.5204)
Se (0.0000, 0.3337, 0.1363)
Se (0.0000, 0.6709, 0.6172)
Se (0.2268, 0.1854, 0.6226)
Se (0.2732, 0.8146, 0.1226)
Se (0.5000, 0.3291, 0.1172)
Se (0.5000, 0.6663, 0.6363)
Se (0.7268, 0.8146, 0.1226)
Se (0.7732, 0.1854, 0.6226)

***

Theoretical powder diffractogram of AgGe2SbTe4 for copper Kα, from a crystal structure in Alexandria, relaxed with GGA-PBE.
Lines closer than 0.1° are merged.

Largest 10 diffraction maxima, in order of rising 2θ, 10 to 90 degrees two-theta:
| 2θ/deg | I/Imax |
| --- | --- |
| 29.04 | 100 |
| 29.44 | 52 |
| 40.74 | 16 |
| 41.83 | 73 |
| 42.32 | 19 |
| 51.06 | 16 |
| 52.39 | 20 |
| 68.41 | 13 |
| 69.05 | 18 |
| 77.08 | 18 |

Cell and atoms:
Unit cell a=7.5124 b=6.1537 c=7.4201 alpha=66.45 beta=48.67 gamma=64.88
Element x y z (fractional)
Ag (0.0000, 0.0000, 0.0000)
Ge (0.2735, 0.2735, 0.2265)
Ge (0.7735, 0.7735, 0.7265)
Sb (0.5165, 0.5165, 0.4835)
Te (0.0478, 0.5335, 0.9522)
Te (0.3069, 0.8163, 0.1837)
Te (0.5335, 0.0478, 0.4665)
Te (0.8163, 0.3069, 0.6931)

***

Theoretical powder diffractogram of Ag7GeSe6 for copper Kα, from a crystal structure in Alexandria, relaxed with GGA-PBE.
Lines closer than 0.1° are merged.

Largest 10 diffraction maxima, in order of rising 2θ, 10 to 90 degrees two-theta:
| 2θ/deg | I/Imax |
| --- | --- |
| 25.63 | 53 |
| 26.71 | 100 |
| 28.99 | 62 |
| 30.25 | 30 |
| 32.55 | 53 |
| 37.34 | 37 |
| 43.99 | 42 |
| 44.13 | 48 |
| 44.79 | 34 |
| 45.71 | 55 |

Cell and atoms:
Unit cell a=10.9114 b=10.9114 c=10.9114 alpha=145.44 beta=97.46 gamma=92.67
Element x y z (fractional)
Ag (0.0331, 0.2262, 0.2594)
Ag (0.1248, 0.4529, 0.7806)
Ag (0.1722, 0.9529, 0.3281)
Ag (0.2500, 0.2500, 0.0000)
Ag (0.3278, 0.6558, 0.7806)
Ag (0.3752, 0.1558, 0.3281)
Ag (0.4669, 0.7262, 0.1931)
Ag (0.5331, 0.2738, 0.8069)
Ag (0.6248, 0.8442, 0.6719)
Ag (0.6722, 0.3442, 0.2194)
Ag (0.7500, 0.7500, 0.0000)
Ag (0.8278, 0.0471, 0.6719)
Ag (0.8752, 0.5471, 0.2194)
Ag (0.9669, 0.7738, 0.7406)
Ge (0.2500, 0.7500, 0.5000)
Ge (0.7500, 0.2500, 0.5000)
Se (0.0594, 0.8781, 0.6156)
Se (0.1493, 0.8505, 0.9998)
Se (0.2375, 0.6219, 0.1813)
Se (0.2625, 0.4438, 0.3844)
Se (0.3507, 0.3505, 0.7012)
Se (0.4406, 0.0562, 0.8187)
Se (0.5594, 0.9438, 0.1813)
Se (0.6493, 0.6495, 0.2988)
Se (0.7375, 0.5562, 0.6156)
Se (0.7625, 0.3781, 0.8187)
Se (0.8507, 0.1495, 0.0002)
Se (0.9406, 0.1219, 0.3844)

***

Theoretical powder diffractogram of Ag2Ge2Se for copper Kα, from a crystal structure in Alexandria, relaxed with GGA-PBE.
Lines closer than 0.1° are merged.

Largest 10 diffraction maxima, in order of rising 2θ, 10 to 90 degrees two-theta:
| 2θ/deg | I/Imax |
| --- | --- |
| 17.29 | 7 |
| 22.81 | 12 |
| 36.02 | 100 |
| 39.29 | 40 |
| 45.91 | 9 |
| 46.59 | 15 |
| 51.10 | 10 |
| 62.54 | 19 |
| 74.56 | 17 |
| 79.45 | 9 |

Cell and atoms:
Unit cell a=7.2516 b=7.2516 c=3.8985 alpha=90.00 beta=90.00 gamma=90.00
Element x y z (fractional)
Ag (0.1398, 0.3602, 0.0000)
Ag (0.3602, 0.8602, 0.0000)
Ag (0.6398, 0.1398, 0.0000)
Ag (0.8602, 0.6398, 0.0000)
Ge (0.1511, 0.6511, 0.5000)
Ge (0.3489, 0.1511, 0.5000)
Ge (0.6511, 0.8489, 0.5000)
Ge (0.8489, 0.3489, 0.5000)
Se (0.0000, 0.0000, 0.0000)
Se (0.5000, 0.5000, 0.0000)